Structure and computed powder X-ray diffraction pattern of AgAs2Se3 (a GGA-PBE-relaxed structure; CuKα).

Main lines, sorted by position (10 to 90 degrees two-theta):
d_spacing	2θ (°)	I_rel
4.073	21.82	18.5
3.305	26.98	16.3
3.280	27.19	16.5
3.042	29.36	25.4
3.025	29.53	45.4
2.544	35.28	100.0
2.092	43.26	15.9
1.890	48.15	18.6
1.876	48.52	15.8
1.840	49.53	11.8

Atomic structure:
```
AgAs2Se3
1.0
5.6293 -3.2797 0.0000
5.6293 3.2797 0.0000
0.0000 0.0000 8.1459
Ag As Se
2 4 6
Cartesian
5.6293 2.8026 4.0729
5.6293 -2.8026 0.0000
3.9480 1.0549 0.5538
7.3106 1.0549 0.5538
3.9480 -1.0549 4.6267
7.3106 -1.0549 4.6267
1.8631 0.2423 6.0238
1.8631 -0.2423 1.9509
5.6293 0.2342 5.8167
5.6293 -0.2342 1.7437
9.3955 0.2423 6.0238
9.3955 -0.2423 1.9509
```

=====

Structure and computed powder X-ray diffraction pattern of SrAgAs2Se4 (a GGA-PBE-relaxed structure; CuKα).

Main lines, sorted by position (10 to 90 degrees two-theta):
d_spacing	2θ (°)	I_rel
3.534	25.20	24.5
3.081	28.98	100.0
2.770	32.31	45.0
2.079	43.53	20.8
2.060	43.95	59.2
1.888	48.19	20.0
1.768	51.72	10.9
1.663	55.24	18.8
1.263	75.21	10.1
1.197	80.22	9.9

Atomic structure:
```
SrAgAs2Se4
1.0
0.0000 5.5408 4.5886
4.1577 0.0000 4.5886
4.1577 5.5408 0.0000
Sr Ag As Se
1 1 2 4
Cartesian
0.0000 0.0000 0.0000
4.1577 5.5408 5.1127
2.0789 2.7704 2.5555
6.2366 8.3113 7.1441
4.1577 3.0172 4.0356
6.1973 5.5408 6.8504
4.1577 8.0645 4.0356
2.1181 5.5408 6.8504
```

=====

Structure and computed powder X-ray diffraction pattern of SrAg2As (a GGA-PBE-relaxed structure; CuKα).

Main lines, sorted by position (10 to 90 degrees two-theta):
d_spacing	2θ (°)	I_rel
5.116	17.33	46.9
2.800	31.96	51.2
2.789	32.09	100.0
2.459	36.54	23.9
2.362	38.10	48.9
2.346	38.36	95.8
1.928	47.14	13.9
1.805	50.56	27.1
1.434	65.06	22.1
1.361	69.02	16.1

Atomic structure:
```
SrAg2As
1.0
8.1104 0.0000 0.0000
0.0000 4.7240 0.0000
-2.7500 0.0000 5.1162
Sr Ag As
2 4 2
Cartesian
0.0000 0.0000 0.0000
4.0552 2.3620 0.0000
-0.0300 0.0000 3.2444
2.6898 0.0000 2.2713
4.0252 2.3620 3.2444
6.7451 2.3620 2.2713
1.3500 2.3620 1.8220
5.4052 0.0000 1.8220
```

=====

Structure and computed powder X-ray diffraction pattern of TbAgAs2 (a GGA-PBE-relaxed structure; CuKα).

Main lines, sorted by position (10 to 90 degrees two-theta):
d_spacing	2θ (°)	I_rel
3.741	23.78	13.2
3.178	28.07	12.3
2.627	34.13	10.4
2.609	34.38	19.3
2.490	36.07	100.0
2.186	41.29	11.5
2.006	45.20	15.4
2.002	45.30	14.2
1.591	57.98	10.3
1.233	77.43	10.5

Atomic structure:
```
TbAgAs2
1.0
20.8706 0.0000 0.0000
0.0000 4.0120 0.0000
0.0000 0.0000 4.0034
Tb Ag As
4 4 8
Cartesian
2.3757 1.0030 0.9390
8.0596 3.0090 2.9407
12.8110 1.0030 1.0627
18.4949 3.0090 3.0644
5.2113 1.0030 2.9289
5.2240 3.0090 0.9271
15.6466 1.0030 3.0763
15.6593 3.0090 1.0746
0.0232 1.0030 2.8590
3.2657 3.0090 2.9367
7.1696 1.0030 0.9350
10.4121 3.0090 0.8573
10.4585 1.0030 3.1462
13.7010 3.0090 3.0685
17.6049 1.0030 1.0667
20.8474 3.0090 1.1445
```

=====

Structure and computed powder X-ray diffraction pattern of TbZnAgAs2 (a GGA-PBE-relaxed structure; CuKα).

Main lines, sorted by position (10 to 90 degrees two-theta):
d_spacing	2θ (°)	I_rel
3.251	27.43	100.0
2.516	35.68	96.0
2.129	42.45	80.6
1.948	46.62	34.4
1.781	51.29	17.7
1.626	56.62	24.7
1.560	59.21	24.0
1.366	68.70	14.5
1.292	73.26	22.7
1.191	80.64	13.5

Atomic structure:
```
TbZnAgAs2
1.0
4.2590 0.0000 0.0000
-2.1295 3.6884 0.0000
0.0000 0.0000 6.8840
Tb Zn Ag As
1 1 1 2
Cartesian
0.0000 0.0000 0.0000
2.1295 1.2295 2.7027
0.0000 2.4589 4.4475
0.0000 2.4589 1.7543
2.1295 1.2295 5.3752
```

=====

Structure and computed powder X-ray diffraction pattern of Tc2AgAs (a GGA-PBE-relaxed structure; CuKα).

Main lines, sorted by position (10 to 90 degrees two-theta):
d_spacing	2θ (°)	I_rel
7.886	11.22	9.4
2.336	38.55	100.0
2.050	44.19	37.6
1.972	46.04	10.5
1.947	46.64	6.8
1.449	64.27	11.9
1.421	65.72	13.9
1.232	77.51	24.5
1.197	80.19	4.1
1.168	82.63	7.3

Atomic structure:
```
Tc2AgAs
1.0
2.8987 0.0000 0.0000
0.0000 2.8987 0.0000
0.0000 0.0000 7.8860
Tc Ag As
2 1 1
Cartesian
0.0000 0.0000 0.0000
1.4494 1.4494 1.6258
0.0000 0.0000 3.7611
1.4494 1.4494 6.1609
```

=====

Structure and computed powder X-ray diffraction pattern of Ag3Te3As (a GGA-PBE-relaxed structure; CuKα).

Main lines, sorted by position (10 to 90 degrees two-theta):
d_spacing	2θ (°)	I_rel
3.876	22.95	59.5
3.774	23.57	75.0
3.599	24.74	68.3
3.400	26.21	100.0
3.037	29.41	50.1
2.792	32.05	77.6
2.322	38.78	97.2
2.224	40.56	52.9
2.095	43.18	50.5
2.078	43.55	62.6

Atomic structure:
```
Ag3Te3As
1.0
6.8734 0.0000 0.0000
0.0000 9.4337 0.0000
-1.7287 0.0000 11.6936
Ag Te As
12 12 4
Cartesian
0.1622 1.0878 1.7579
-0.7021 3.6291 7.6047
1.5655 7.0529 3.7754
0.7011 7.0976 9.6222
0.6618 1.8382 11.4996
1.5262 2.8787 5.6528
3.6185 6.5550 6.0408
4.4829 7.5955 0.1940
4.4435 2.3361 2.0714
3.5791 2.3808 7.9182
5.8468 5.8046 4.0889
4.9824 8.3459 9.9357
0.6224 0.3490 4.5662
-0.2419 4.3678 10.4130
0.8080 5.6920 6.1785
1.6724 8.4585 0.3317
0.9659 1.5575 8.4680
1.8302 3.1594 2.6212
3.3144 6.2744 9.0723
4.1788 7.8762 3.2255
3.4723 0.9752 11.3619
4.3366 3.7417 5.5151
5.3866 5.0659 1.2806
4.5222 9.0847 7.1274
1.0956 5.5722 1.5019
0.2312 8.5784 7.3487
4.9134 0.8553 4.3449
4.0491 3.8615 10.1917
```

=====

Structure and computed powder X-ray diffraction pattern of Ag2Te4As (a GGA-PBE-relaxed structure; CuKα).

Main lines, sorted by position (10 to 90 degrees two-theta):
d_spacing	2θ (°)	I_rel
3.654	24.36	21.7
3.563	24.99	23.4
3.484	25.57	29.6
3.386	26.32	28.2
3.001	29.77	72.0
2.923	30.59	34.7
2.289	39.36	19.4
2.169	41.63	27.8
2.094	43.21	100.0
2.077	43.57	23.3

Atomic structure:
```
Ag2Te4As
1.0
-4.1547 4.3390 5.8450
4.1547 -4.3390 5.8450
4.1547 4.3390 -5.8450
Ag Te As
4 8 2
Cartesian
0.0000 0.0000 0.0000
4.1547 2.1695 1.4941
0.0000 4.3390 0.0000
0.0000 2.1695 4.3509
4.1547 4.2012 -3.0016
4.1547 -0.1378 3.0016
1.8966 2.1695 -0.0429
2.2581 -2.1695 5.8022
1.8966 6.5085 0.0429
2.2581 2.1695 5.8879
0.0000 4.4768 2.8435
0.0000 0.1378 8.8466
2.0773 2.1695 -2.9225
2.0773 -2.1695 2.9225
```